No. 1
Structure and computed powder X-ray diffraction pattern of Tm2GeBi (the GGA-PBE geometry in Alexandria; Cu Kα (weighted mean of Kα1 and Kα2)).

Cell and atoms:
```
data_Tm2GeBi
_symmetry_space_group_name_H-M 'P 1'
_symmetry_Int_Tables_number 1
_symmetry_space_group_name_Hall 'P 1'
_cell_length_a 11.789
_cell_length_b 11.789
_cell_length_c 4.159
_cell_angle_alpha 90.00
_cell_angle_beta 90.00
_cell_angle_gamma 158.73
loop_
_atom_site_label
_atom_site_type_symbol
_atom_site_fract_x
_atom_site_fract_y
_atom_site_fract_z
_atom_site_occupancy
Tm1 Tm 0.060 0.940 0.750 1
Tm2 Tm 0.330 0.670 0.750 1
Tm3 Tm 0.670 0.330 0.250 1
Tm4 Tm 0.940 0.060 0.250 1
Ge1 Ge 0.458 0.542 0.750 1
Ge2 Ge 0.542 0.458 0.250 1
Bi1 Bi 0.192 0.808 0.750 1
Bi2 Bi 0.808 0.192 0.250 1
```

Top 10 peaks for 2θ = 15–90°, in order of rising 2θ:
| two_theta | I_rel |
| --- | --- |
| 30.0 | 100 |
| 30.9 | 34 |
| 34.0 | 19 |
| 40.5 | 58 |
| 41.5 | 23 |
| 43.5 | 20 |
| 52.6 | 16 |
| 54.3 | 14 |
| 61.7 | 14 |
| 70.6 | 13 |

***

No. 2
Structure and computed powder X-ray diffraction pattern of AcCdGeBr (the GGA-PBE geometry in Alexandria; Cu Kα (weighted mean of Kα1 and Kα2)).

Cell and atoms:
```
data_AcCdGeBr
_symmetry_space_group_name_H-M 'P 1'
_symmetry_Int_Tables_number 1
_symmetry_space_group_name_Hall 'P 1'
_cell_length_a 14.280
_cell_length_b 14.280
_cell_length_c 14.280
_cell_angle_alpha 18.57
_cell_angle_beta 18.57
_cell_angle_gamma 18.57
loop_
_atom_site_label
_atom_site_type_symbol
_atom_site_fract_x
_atom_site_fract_y
_atom_site_fract_z
_atom_site_occupancy
Ac1 Ac 0.084 0.084 0.084 1
Ac2 Ac 0.916 0.916 0.916 1
Cd1 Cd 0.310 0.310 0.310 1
Cd2 Cd 0.690 0.690 0.690 1
Ge1 Ge 0.378 0.378 0.378 1
Ge2 Ge 0.622 0.622 0.622 1
Br1 Br 0.206 0.206 0.206 1
Br2 Br 0.794 0.794 0.794 1
```

Top 10 peaks for 2θ = 15–90°, in order of rising 2θ:
| two_theta | I_rel |
| --- | --- |
| 22.4 | 23 |
| 23.8 | 30 |
| 24.7 | 36 |
| 26.8 | 72 |
| 28.1 | 37 |
| 30.9 | 70 |
| 35.7 | 57 |
| 39.1 | 100 |
| 43.0 | 40 |
| 56.0 | 30 |

***

No. 3
Structure and computed powder X-ray diffraction pattern of Th2V2N5 (the GGA-PBE geometry in Alexandria; Cu Kα (weighted mean of Kα1 and Kα2)).

Cell and atoms:
```
data_Th2V2N5
_symmetry_space_group_name_H-M 'P 1'
_symmetry_Int_Tables_number 1
_symmetry_space_group_name_Hall 'P 1'
_cell_length_a 8.806
_cell_length_b 8.749
_cell_length_c 5.521
_cell_angle_alpha 72.23
_cell_angle_beta 71.11
_cell_angle_gamma 36.66
loop_
_atom_site_label
_atom_site_type_symbol
_atom_site_fract_x
_atom_site_fract_y
_atom_site_fract_z
_atom_site_occupancy
Th1 Th 0.094 0.623 0.377 1
Th2 Th 0.377 0.906 0.094 1
Th3 Th 0.623 0.094 0.906 1
Th4 Th 0.906 0.377 0.623 1
V1 V 0.000 0.500 0.000 1
V2 V 0.325 0.675 0.675 1
V3 V 0.500 0.000 0.500 1
V4 V 0.675 0.325 0.325 1
N1 N 0.121 0.664 0.879 1
N2 N 0.250 0.250 0.250 1
N3 N 0.258 0.258 0.742 1
N4 N 0.324 0.676 0.324 1
N5 N 0.336 0.879 0.664 1
N6 N 0.664 0.121 0.336 1
N7 N 0.676 0.324 0.676 1
N8 N 0.742 0.742 0.258 1
N9 N 0.750 0.750 0.750 1
N10 N 0.879 0.336 0.121 1
```

Top 10 peaks for 2θ = 15–90°, in order of rising 2θ:
| two_theta | I_rel |
| --- | --- |
| 22.4 | 44 |
| 22.6 | 35 |
| 23.2 | 51 |
| 32.1 | 82 |
| 32.4 | 100 |
| 32.6 | 72 |
| 39.9 | 59 |
| 45.7 | 22 |
| 57.3 | 29 |
| 58.3 | 27 |

***

No. 4
Structure and computed powder X-ray diffraction pattern of Os2Br4Cl5 (the GGA-PBE geometry in Alexandria; Cu Kα (weighted mean of Kα1 and Kα2)).

Cell and atoms:
```
data_Os2Br4Cl5
_symmetry_space_group_name_H-M 'P 1'
_symmetry_Int_Tables_number 1
_symmetry_space_group_name_Hall 'P 1'
_cell_length_a 8.008
_cell_length_b 3.811
_cell_length_c 11.591
_cell_angle_alpha 90.00
_cell_angle_beta 99.79
_cell_angle_gamma 90.00
loop_
_atom_site_label
_atom_site_type_symbol
_atom_site_fract_x
_atom_site_fract_y
_atom_site_fract_z
_atom_site_occupancy
Os1 Os 0.232 0.000 0.268 1
Os2 Os 0.768 0.000 0.732 1
Br1 Br 0.017 0.500 0.243 1
Br2 Br 0.444 0.500 0.291 1
Br3 Br 0.556 0.500 0.709 1
Br4 Br 0.983 0.500 0.757 1
Cl1 Cl 0.223 0.000 0.071 1
Cl2 Cl 0.225 0.000 0.463 1
Cl3 Cl 0.500 0.000 0.000 1
Cl4 Cl 0.775 0.000 0.537 1
Cl5 Cl 0.777 0.000 0.929 1
```

Top 10 peaks for 2θ = 15–90°, in order of rising 2θ:
| two_theta | I_rel |
| --- | --- |
| 15.5 | 100 |
| 24.2 | 27 |
| 27.7 | 37 |
| 31.3 | 29 |
| 32.7 | 80 |
| 34.6 | 26 |
| 38.1 | 35 |
| 41.3 | 26 |
| 48.7 | 28 |
| 49.5 | 27 |

***

- Number 1 is which compound?
  Tm2GeBi